Starting from the PBE geometry in Alexandria, the PXRD pattern of TbMg2ScPd4 was computed for Cu Kα X-rays.
No peak broadening, texture or thermal motion is included.

Most intense lines, 2θ from 10° to 90°, by angle:
Position (°2θ)  intensity
23.30  21.0
26.84  17.6
29.23  10.9
38.02  100.0
38.60  99.9
55.30  33.0
68.32  15.2
69.47  32.7
69.85  16.7
82.76  10.5

Crystal structure
```
8
Lattice="2.332 1.347 7.786 -2.332 1.347 7.786 0.000 -2.693 7.786" Properties=species:S:1:pos:R:3 pbc="T T T"
Tb 0.000 0.000 0.000
Mg 0.000 0.000 5.770
Mg 0.000 0.000 17.589
Sc 0.000 0.000 11.680
Pd 0.000 0.000 2.971
Pd 0.000 0.000 8.916
Pd 0.000 0.000 14.443
Pd 0.000 0.000 20.388
```